Calculated powder diffractogram of NaTm2WO6 for copper Kα, from the PBE+U geometry in Alexandria.
Intensities are scaled so that the largest is 100.

Largest 10 diffraction maxima, in order of rising 2θ, 5 to 70 degrees two-theta:
Position (°2θ), d_spacing, Rel. int.
17.65, 5.025, 29
19.13, 4.639, 35
21.72, 4.091, 24
21.96, 4.047, 24
29.77, 3.001, 46
30.12, 2.967, 88
31.81, 2.813, 100
32.07, 2.791, 48
48.60, 1.873, 27
57.00, 1.616, 29

Atomic structure:
Cell lengths 5.5829, 5.6230, 5.9507 Å; angles 61.97, 62.87, 60.34 degrees
Space group P1 (No. 1)
One atom of each set of equivalent atoms:
Na (0.0000, 0.0000, 0.0000) [1 per cell]
Tm (0.2186, 0.2095, 0.3450) [1 per cell]
Tm (0.7247, 0.7303, 0.8207) [1 per cell]
W (0.5192, 0.5250, 0.4295) [1 per cell]
O (0.1452, 0.7821, 0.6266) [1 per cell]
O (0.3472, 0.5854, 0.1690) [1 per cell]
O (0.4304, 0.1509, 0.6280) [1 per cell]
O (0.5841, 0.9025, 0.1557) [1 per cell]
O (0.7678, 0.4440, 0.6221) [1 per cell]
O (0.8947, 0.3483, 0.1621) [1 per cell]